Entry 1:
Diffraction record for Ba3UFe2O9. The X-ray diffraction stick pattern is calculated, not measured: it uses a cell relaxed with PBE+U and Cu Kα.
Kinematic intensities with the Lorentz-polarization factor, no thermal factor.

Peak list (12 most intense, 2θ from 10° to 90°, in order of falling intensity)
- (1 2 3), 2θ 30.26, I 100
- (2 4 0), 2θ 53.74, I 30
- (2 0 6), 2θ 43.40, I 24
- (2 0 0), 2θ 30.37, I 21
- (2 4 6), 2θ 62.94, I 17
- (3 2 3), 2θ 53.90, I 16
- (1 1 0), 2θ 18.41, I 15
- (0 4 0), 2θ 43.26, I 12
- (1 6 9), 2θ 87.31, I 10
- (3 2 9), 2θ 71.50, I 9
- (0 3 3), 2θ 35.64, I 7
- (1 6 3), 2θ 71.33, I 6

Atomic structure:
```
data_Ba3UFe2O9
_cell_length_a 5.8858
_cell_length_b 8.3648
_cell_length_c 17.7272
_cell_angle_alpha 90.00
_cell_angle_beta 90.00
_cell_angle_gamma 90.00
_space_group_name_H-M_alt 'I m m m'
_space_group_IT_number 71
_space_group_name_Hall '-I 2 2'
loop_
_atom_site_label
_atom_site_fract_x
_atom_site_fract_y
_atom_site_fract_z
_atom_site_occupancy
Ba1 0.0000 0.2317 0.0000 1
Ba2 0.0000 0.2615 0.3429 1
U1 0.0000 0.5000 0.1682 1
Fe1 0.0000 0.0000 0.1611 1
Fe2 0.0000 0.0000 0.5000 1
Fe3 0.0000 0.5000 0.5000 1
O1 0.0000 0.2443 0.5000 1
O2 0.0000 0.2485 0.1671 1
O3 0.2490 0.0000 0.0840 1
O4 0.2497 0.0000 0.2488 1
O5 0.2496 0.0000 0.4156 1
```



Entry 2:
Diffraction record for Ba3U2FeO9. The X-ray diffraction stick pattern is calculated, not measured: it uses a cell relaxed with PBE+U and Cu Kα.
Kinematic intensities with the Lorentz-polarization factor, no thermal factor.

Peak list (12 most intense, 2θ from 10° to 90°, in order of falling intensity)
- (0 1 2), 2θ 29.12, I 100
- (1 1 0), 2θ 29.36, I 97
- (2 0 2), 2θ 41.82, I 56
- (1 2 2), 2θ 51.92, I 41
- (0 1 1), 2θ 20.56, I 23
- (3 0 0), 2θ 52.06, I 20
- (1 0 4), 2θ 51.48, I 20
- (3 1 2), 2θ 68.90, I 18
- (2 2 0), 2θ 60.90, I 18
- (2 1 4), 2θ 68.53, I 17
- (0 2 4), 2θ 60.37, I 17
- (1 0 0), 2θ 16.82, I 13

Atomic structure:
```
data_Ba3U2FeO9
_cell_length_a 6.0851
_cell_length_b 6.0851
_cell_length_c 7.5414
_cell_angle_alpha 90.00
_cell_angle_beta 90.00
_cell_angle_gamma 120.00
_space_group_name_H-M_alt 'P -3 m 1'
_space_group_IT_number 164
_space_group_name_Hall '-P 3 2"'
loop_
_atom_site_label
_atom_site_fract_x
_atom_site_fract_y
_atom_site_fract_z
_atom_site_occupancy
Ba1 0.0000 0.0000 0.0000 1
Ba2 0.3333 0.6667 0.6500 1
U1 0.3333 0.6667 0.1763 1
Fe1 0.0000 0.0000 0.5000 1
O1 0.0000 0.5000 0.0000 1
O2 0.1676 0.3353 0.3335 1
```



Entry 3:
Diffraction record for Ba3V2FeO9. The X-ray diffraction stick pattern is calculated, not measured: it uses a cell relaxed with PBE+U and Cu Kα.
Kinematic intensities with the Lorentz-polarization factor, no thermal factor.

Peak list (12 most intense, 2θ from 10° to 90°, in order of falling intensity)
- (1 1 0), 2θ 31.46, I 100
- (0 1 2), 2θ 31.56, I 99
- (2 0 2), 2θ 45.16, I 68
- (3 0 0), 2θ 56.05, I 57
- (0 2 1), 2θ 38.80, I 32
- (1 0 1), 2θ 22.14, I 29
- (2 2 0), 2θ 65.66, I 20
- (0 2 4), 2θ 65.91, I 20
- (1 0 4), 2θ 56.28, I 19
- (3 1 2), 2θ 74.68, I 17
- (2 1 4), 2θ 74.86, I 16
- (0 0 3), 2θ 38.98, I 11

Atomic structure:
```
data_Ba3V2FeO9
_cell_length_a 5.6880
_cell_length_b 5.6880
_cell_length_c 6.9315
_cell_angle_alpha 90.00
_cell_angle_beta 90.00
_cell_angle_gamma 120.00
_space_group_name_H-M_alt 'P -3 m 1'
_space_group_IT_number 164
_space_group_name_Hall '-P 3 2"'
loop_
_atom_site_label
_atom_site_fract_x
_atom_site_fract_y
_atom_site_fract_z
_atom_site_occupancy
Ba1 0.0000 0.0000 0.0000 1
Ba2 0.3333 0.6667 0.6683 1
V1 0.3333 0.6667 0.1700 1
Fe1 0.0000 0.0000 0.5000 1
O1 0.0000 0.5000 0.0000 1
O2 0.1716 0.3432 0.3258 1
```